[1]
Tb5GaCu4: theoretical powder X-ray diffraction pattern (Cu Kα (λ = 1.5418 Å)), based on a PBE-relaxed structure.

Crystal structure
Unit cell a=3.489 b=3.489 c=17.691 alpha=90.00 beta=90.00 gamma=90.00
Space group P4/mmm (No. 123)
Unique sites:
Tb 0.000 0.000 0.000 (multiplicity 1)
Tb 0.000 0.000 0.197 (multiplicity 2)
Tb 0.000 0.000 0.395 (multiplicity 2)
Ga 0.500 0.500 0.500 (multiplicity 1)
Cu 0.500 0.500 0.098 (multiplicity 2)
Cu 0.500 0.500 0.296 (multiplicity 2)

The 6 most intense peaks (2θ from 10° to 90°), in order of rising 2θ:
2theta	I/Imax	index
25.53	18	1 0 0
36.16	100	1 0 5
36.42	50	1 1 0
52.45	17	2 0 0
64.86	17	1 1 10
65.37	35	2 1 5

=====

[2]
Tb2Ga3Cu5: theoretical powder X-ray diffraction pattern (Cu Kα (λ = 1.5418 Å)), based on a PBE-relaxed structure.

Crystal structure
Unit cell a=11.890 b=11.395 c=5.748 alpha=90.00 beta=118.83 gamma=90.00
Space group C2/c (No. 15)
Unique sites:
Tb 0.238 0.126 0.238 (multiplicity 8)
Ga 0.000 0.500 0.250 (multiplicity 4)
Ga 0.124 0.132 0.623 (multiplicity 8)
Cu 0.000 0.001 0.750 (multiplicity 4)
Cu 0.000 0.265 0.250 (multiplicity 4)
Cu 0.000 0.265 0.750 (multiplicity 4)
Cu 0.146 0.381 0.146 (multiplicity 8)

The 6 most intense peaks (2θ from 10° to 90°), in order of rising 2θ:
2theta	I/Imax	index
34.02	100	2 2 1
35.68	80	4 0 -2
35.93	76	2 4 0
44.79	80	2 4 -2
49.19	45	6 2 -1
57.61	26	4 6 -1

=====

[3]
TbGa2Cu5: theoretical powder X-ray diffraction pattern (Cu Kα (λ = 1.5418 Å)), based on a PBE-relaxed structure.

Crystal structure
Unit cell a=3.778 b=6.869 c=9.645 alpha=90.00 beta=90.00 gamma=90.00
Space group Immm (No. 71)
Unique sites:
Tb 0.000 0.000 0.000 (multiplicity 2)
Ga 0.000 0.500 0.253 (multiplicity 4)
Cu 0.000 0.185 0.368 (multiplicity 8)
Cu 0.000 0.500 0.000 (multiplicity 2)

The 6 most intense peaks (2θ from 10° to 90°), in order of rising 2θ:
2theta	I/Imax	index
32.81	55	1 1 2
36.56	100	1 2 1
36.70	83	1 0 3
45.99	65	0 2 4
48.17	38	2 0 0
68.79	37	2 2 4

=====

[4]
TbZnGa2Cu4: theoretical powder X-ray diffraction pattern (Cu Kα (λ = 1.5418 Å)), based on a PBE-relaxed structure.

Crystal structure
Unit cell a=4.1767 b=4.1767 c=24.9617 alpha=90.00 beta=90.00 gamma=120.00
Space group R-3m (No. 166, hexagonal axes)
Unique sites:
Tb 0.0000 0.0000 0.0000 (multiplicity 3)
Zn 0.0000 0.0000 0.5000 (multiplicity 3)
Ga 0.0000 0.0000 0.2467 (multiplicity 6)
Cu 0.0000 0.0000 0.1334 (multiplicity 6)
Cu 0.0000 0.0000 0.4027 (multiplicity 6)

The 6 most intense peaks (2θ from 10° to 90°), in order of rising 2θ:
2theta	I/Imax	index
30.52	18	0 1 5
35.35	26	1 0 7
38.09	94	0 1 8
43.33	100	1 1 0
59.03	25	2 0 8
76.00	23	1 2 8

=====

What did the first record say?
Tb5GaCu4: theoretical powder X-ray diffraction pattern (Cu Kα (λ = 1.5418 Å)), based on a PBE-relaxed structure.

Crystal structure
Unit cell a=3.489 b=3.489 c=17.691 alpha=90.00 beta=90.00 gamma=90.00
Space group P4/mmm (No. 123)
Unique sites:
Tb 0.000 0.000 0.000 (multiplicity 1)
Tb 0.000 0.000 0.197 (multiplicity 2)
Tb 0.000 0.000 0.395 (multiplicity 2)
Ga 0.500 0.500 0.500 (multiplicity 1)
Cu 0.500 0.500 0.098 (multiplicity 2)
Cu 0.500 0.500 0.296 (multiplicity 2)

The 6 most intense peaks (2θ from 10° to 90°), in order of rising 2θ:
2theta	I/Imax	index
25.53	18	1 0 0
36.16	100	1 0 5
36.42	50	1 1 0
52.45	17	2 0 0
64.86	17	1 1 10
65.37	35	2 1 5